1.
LiTiRe: computed powder diffractogram (Cu Kα), based on a structure optimized by DFT (GGA-PBE).

Atomic structure:
```
data_LiTiRe
_space_group_name_H-M_alt 'F -4 3 m'
_space_group_IT_number 216
_space_group_name_Hall 'F -4 2 3'
_cell_length_a 5.962
_cell_length_b 5.962
_cell_length_c 5.962
_cell_angle_alpha 90.00
_cell_angle_beta 90.00
_cell_angle_gamma 90.00
loop_
_atom_site_label
_atom_site_type_symbol
_atom_site_fract_x
_atom_site_fract_y
_atom_site_fract_z
_atom_site_occupancy
Li1 Li 0.000 0.000 0.000 1
Ti1 Ti 0.250 0.250 0.750 1
Re1 Re 0.000 0.000 0.500 1
```

Principal peaks in the range 15 to 90 degrees two-theta, sorted by position:
2theta  I (rel.)  index
25.88  100  1 1 1
29.98  30  2 0 0
42.91  64  2 2 0
50.79  48  3 1 1
53.22  9  2 2 2
62.29  10  4 0 0
68.62  20  3 3 1
70.66  11  4 2 0
78.62  21  4 2 2
84.43  15  5 1 1

2.
LiZr2Re: computed powder diffractogram (Cu Kα), based on a structure optimized by DFT (GGA-PBE).

Atomic structure:
```
data_LiZr2Re
_space_group_name_H-M_alt 'F m -3 m'
_space_group_IT_number 225
_space_group_name_Hall '-F 4 2 3'
_cell_length_a 6.645
_cell_length_b 6.645
_cell_length_c 6.645
_cell_angle_alpha 90.00
_cell_angle_beta 90.00
_cell_angle_gamma 90.00
loop_
_atom_site_label
_atom_site_type_symbol
_atom_site_fract_x
_atom_site_fract_y
_atom_site_fract_z
_atom_site_occupancy
Li1 Li 0.000 0.000 0.000 1
Zr1 Zr 0.250 0.250 0.250 1
Re1 Re 0.000 0.000 0.500 1
```

Principal peaks in the range 15 to 90 degrees two-theta, sorted by position:
2theta  I (rel.)  index
23.19  55  1 1 1
38.31  100  2 2 0
45.26  29  3 1 1
55.30  17  4 0 0
60.76  12  3 3 1
69.28  34  4 2 2
74.15  9  5 1 1
82.04  11  4 4 0
86.69  9  5 3 1

3.
LiSc2Rh: computed powder diffractogram (Cu Kα), based on a structure optimized by DFT (GGA-PBE).

Atomic structure:
```
data_LiSc2Rh
_space_group_name_H-M_alt 'F m -3 m'
_space_group_IT_number 225
_space_group_name_Hall '-F 4 2 3'
_cell_length_a 6.574
_cell_length_b 6.574
_cell_length_c 6.574
_cell_angle_alpha 90.00
_cell_angle_beta 90.00
_cell_angle_gamma 90.00
loop_
_atom_site_label
_atom_site_type_symbol
_atom_site_fract_x
_atom_site_fract_y
_atom_site_fract_z
_atom_site_occupancy
Li1 Li 0.000 0.000 0.000 1
Sc1 Sc 0.250 0.250 0.250 1
Rh1 Rh 0.000 0.000 0.500 1
```

Principal peaks in the range 15 to 90 degrees two-theta, sorted by position:
2theta  I (rel.)  index
23.44  64  1 1 1
27.13  1  2 0 0
38.74  100  2 2 0
45.78  31  3 1 1
55.95  16  4 0 0
61.49  13  3 3 1
70.13  32  4 2 2
75.09  9  5 1 1
83.12  10  4 4 0
87.86  10  5 3 1

4.
LiScRh2: computed powder diffractogram (Cu Kα), based on a structure optimized by DFT (GGA-PBE).

Atomic structure:
```
data_LiScRh2
_space_group_name_H-M_alt 'F m -3 m'
_space_group_IT_number 225
_space_group_name_Hall '-F 4 2 3'
_cell_length_a 6.203
_cell_length_b 6.203
_cell_length_c 6.203
_cell_angle_alpha 90.00
_cell_angle_beta 90.00
_cell_angle_gamma 90.00
loop_
_atom_site_label
_atom_site_type_symbol
_atom_site_fract_x
_atom_site_fract_y
_atom_site_fract_z
_atom_site_occupancy
Li1 Li 0.000 0.000 0.000 1
Sc1 Sc 0.000 0.000 0.500 1
Rh1 Rh 0.250 0.250 0.250 1
```

Principal peaks in the range 15 to 90 degrees two-theta, sorted by position:
2theta  I (rel.)  index
24.86  6  1 1 1
28.79  51  2 0 0
41.16  100  2 2 0
48.69  3  3 1 1
51.01  14  2 2 2
59.62  16  4 0 0
65.61  1  3 3 1
67.54  18  4 2 0
75.02  32  4 2 2
89.35  10  4 4 0

5.
LiSi2Rh2: computed powder diffractogram (Cu Kα), based on a structure optimized by DFT (GGA-PBE).

Atomic structure:
```
data_LiSi2Rh2
_space_group_name_H-M_alt 'P 4/m b m'
_space_group_IT_number 127
_space_group_name_Hall '-P 4 2ab'
_cell_length_a 7.047
_cell_length_b 7.047
_cell_length_c 2.771
_cell_angle_alpha 90.00
_cell_angle_beta 90.00
_cell_angle_gamma 90.00
loop_
_atom_site_label
_atom_site_type_symbol
_atom_site_fract_x
_atom_site_fract_y
_atom_site_fract_z
_atom_site_occupancy
Li1 Li 0.000 0.000 0.000 1
Si1 Si 0.146 0.354 0.000 1
Rh1 Rh 0.150 0.650 0.500 1
```

Principal peaks in the range 15 to 90 degrees two-theta, sorted by position:
2theta  I (rel.)  index
17.80  49  1 1 0
25.28  15  2 0 0
28.32  54  2 1 0
32.30  15  0 0 1
40.48  35  3 1 0
43.48  100  2 1 1
51.90  16  4 0 0
55.31  16  3 3 0
64.00  11  4 1 1
81.31  24  5 2 1

6.
LiSn4Rh: computed powder diffractogram (Cu Kα), based on a structure optimized by DFT (GGA-PBE).

Atomic structure:
```
data_LiSn4Rh
_space_group_name_H-M_alt 'I 4/m c m'
_space_group_IT_number 140
_space_group_name_Hall '-I 4 2c'
_cell_length_a 6.704
_cell_length_b 6.704
_cell_length_c 11.516
_cell_angle_alpha 90.00
_cell_angle_beta 90.00
_cell_angle_gamma 90.00
loop_
_atom_site_label
_atom_site_type_symbol
_atom_site_fract_x
_atom_site_fract_y
_atom_site_fract_z
_atom_site_occupancy
Li1 Li 0.000 0.000 0.000 1
Sn1 Sn 0.160 0.340 0.136 1
Rh1 Rh 0.000 0.000 0.250 1
```

Principal peaks in the range 15 to 90 degrees two-theta, sorted by position:
2theta  I (rel.)  index
15.39  31  0 0 2
30.82  100  2 1 1
31.06  25  0 0 4
36.52  31  1 1 4
38.08  90  2 1 3
41.34  35  2 0 4
42.65  46  3 1 0
61.96  23  4 1 3
64.62  26  2 1 7
67.63  29  3 3 4